The following is a simulated PXRD pattern of Na4CaTl4. It was derived from a PBE-relaxed structure, using λ = 1.5418 Å (Cu Kα).

Most intense lines, 2θ = 10–90°, by angle:
- 15.94°, rel. 64, (0 0 2)
- 26.57°, rel. 100, (2 0 1)
- 32.20°, rel. 15, (0 0 4)
- 35.16°, rel. 59, (2 0 3)
- 36.09°, rel. 29, (2 2 0)
- 39.68°, rel. 35, (2 2 2)
- 48.42°, rel. 11, (2 0 5)
- 49.14°, rel. 17, (2 2 4)
- 51.96°, rel. 12, (4 0 0)
- 59.30°, rel. 22, (4 2 1)
- 62.47°, rel. 16, (4 0 4)
- 64.31°, rel. 24, (4 2 3)

Structure:
```
data_Na4CaTl4
_chemical_formula_sum 'Na8 Ca2 Tl8'
_space_group_name_H-M_alt 'P 42/n m c'
_space_group_IT_number 137
_cell_length_a 7.0390
_cell_length_b 7.0390
_cell_length_c 11.1195
_cell_angle_alpha 90.00
_cell_angle_beta 90.00
_cell_angle_gamma 90.00
loop_
_space_group_symop_operation_xyz
'x,y,z'
'-x,-y,-z'
'-y+1/2,x,z+1/2'
'y+1/2,-x,-z+1/2'
'-x+1/2,-y+1/2,z'
'x+1/2,y+1/2,-z'
'y,-x+1/2,z+1/2'
'-y,x+1/2,-z+1/2'
'x+1/2,-y,-z'
'-x+1/2,y,z'
'-y,-x,-z+1/2'
'y,x,z+1/2'
'-x,y+1/2,-z'
'x,-y+1/2,z'
'y+1/2,x+1/2,-z+1/2'
'-y+1/2,-x+1/2,z+1/2'
loop_
_atom_site_label
_atom_site_fract_x
_atom_site_fract_y
_atom_site_fract_z
Na1 0.0312 0.2500 0.1842
Ca1 0.2500 0.7500 0.2500
Tl1 0.0100 0.2500 0.4799
```


The following is a simulated PXRD pattern of Na2CaTl5. It was derived from a PBE-relaxed structure, using λ = 1.5418 Å (Cu Kα).

Most intense lines, 2θ = 10–90°, by angle:
- 15.43°, rel. 10, (1 1 0)
- 16.62°, rel. 11, (1 0 1)
- 21.89°, rel. 31, (2 0 0)
- 25.18°, rel. 11, (0 0 2)
- 31.15°, rel. 61, (2 2 0)
- 33.61°, rel. 100, (2 0 2)
- 40.47°, rel. 13, (2 2 2)
- 44.64°, rel. 23, (4 0 0)
- 57.01°, rel. 45, (4 2 2)
- 61.60°, rel. 18, (2 2 4)
- 70.64°, rel. 12, (4 0 4)
- 73.80°, rel. 10, (6 2 0)

Structure:
```
data_Na2CaTl5
_chemical_formula_sum 'Na4 Ca2 Tl10'
_space_group_name_H-M_alt 'I 4 m m'
_space_group_IT_number 107
_space_group_name_Hall 'I 4 -2'
_cell_length_a 8.1204
_cell_length_b 8.1204
_cell_length_c 7.0731
_cell_angle_alpha 90.00
_cell_angle_beta 90.00
_cell_angle_gamma 90.00
loop_
_atom_site_label
_atom_site_fract_x
_atom_site_fract_y
_atom_site_fract_z
Na1 0.0000 0.5000 0.0000
Ca1 0.0000 0.0000 0.9998
Tl1 0.0000 0.0000 0.5005
Tl2 0.2498 0.2498 0.2502
```


The following is a simulated PXRD pattern of NaCaV. It was derived from a PBE-relaxed structure, using λ = 1.5418 Å (Cu Kα).

Most intense lines, 2θ = 10–90°, by angle:
- 11.52°, rel. 100, (0 0 1)
- 15.69°, rel. 42, (0 1 0)
- 25.50°, rel. 15, (0 1 2)
- 30.49°, rel. 27, (0 1 -2)
- 31.28°, rel. 30, (1 1 2)
- 31.66°, rel. 53, (0 2 1)
- 31.91°, rel. 16, (1 -1 0)
- 33.42°, rel. 16, (1 0 2)
- 35.05°, rel. 14, (0 0 3)
- 35.44°, rel. 16, (1 -1 1)
- 35.73°, rel. 34, (0 1 3)
- 43.28°, rel. 20, (2 1 0)

Structure:
```
data_NaCaV
_chemical_formula_sum 'Na2 Ca2 V2'
_space_group_name_H-M_alt 'P 1'
_space_group_IT_number 1
_cell_length_a 4.1819
_cell_length_b 6.1149
_cell_length_c 7.8184
_cell_angle_alpha 79.58
_cell_angle_beta 89.05
_cell_angle_gamma 70.09
loop_
_space_group_symop_operation_xyz
'x,y,z'
loop_
_atom_site_label
_atom_site_fract_x
_atom_site_fract_y
_atom_site_fract_z
Na1 0.0000 0.0000 0.0000
Na2 0.3196 0.4022 0.0986
Ca1 0.3908 0.2039 0.6302
Ca2 0.6276 0.7248 0.3767
V1 0.0925 0.7251 0.6983
V2 0.7375 0.6303 0.7837
```


Copy entry 3 word for word.
The following is a simulated PXRD pattern of NaCaV. It was derived from a PBE-relaxed structure, using λ = 1.5418 Å (Cu Kα).

Most intense lines, 2θ = 10–90°, by angle:
- 11.52°, rel. 100, (0 0 1)
- 15.69°, rel. 42, (0 1 0)
- 25.50°, rel. 15, (0 1 2)
- 30.49°, rel. 27, (0 1 -2)
- 31.28°, rel. 30, (1 1 2)
- 31.66°, rel. 53, (0 2 1)
- 31.91°, rel. 16, (1 -1 0)
- 33.42°, rel. 16, (1 0 2)
- 35.05°, rel. 14, (0 0 3)
- 35.44°, rel. 16, (1 -1 1)
- 35.73°, rel. 34, (0 1 3)
- 43.28°, rel. 20, (2 1 0)

Structure:
```
data_NaCaV
_chemical_formula_sum 'Na2 Ca2 V2'
_space_group_name_H-M_alt 'P 1'
_space_group_IT_number 1
_cell_length_a 4.1819
_cell_length_b 6.1149
_cell_length_c 7.8184
_cell_angle_alpha 79.58
_cell_angle_beta 89.05
_cell_angle_gamma 70.09
loop_
_space_group_symop_operation_xyz
'x,y,z'
loop_
_atom_site_label
_atom_site_fract_x
_atom_site_fract_y
_atom_site_fract_z
Na1 0.0000 0.0000 0.0000
Na2 0.3196 0.4022 0.0986
Ca1 0.3908 0.2039 0.6302
Ca2 0.6276 0.7248 0.3767
V1 0.0925 0.7251 0.6983
V2 0.7375 0.6303 0.7837
```